Entry 1:
# Cs5FeO4
Simulated X-ray powder pattern, Cu Kα, 1.54184 Å. Input: a crystal structure in Alexandria, relaxed with GGA+U.
Lines closer than 0.1° are merged.

Principal peaks in the range 10 to 80 degrees two-theta, by intensity:
two_theta, d/Å, intensity
30.34, 2.946, 100
25.19, 3.536, 67
27.17, 3.282, 44
25.66, 3.471, 42
27.46, 3.249, 38
29.48, 3.029, 37
34.85, 2.574, 37
52.37, 1.747, 33
24.26, 3.669, 32
29.93, 2.985, 27

Atomic structure:
Unit cell a=11.4986 b=13.1404 c=7.4440 alpha=90.00 beta=98.85 gamma=90.00
Fractional positions:
Cs1 0.0027 0.1344 0.4300
Cs2 0.0027 0.3656 0.9300
Cs3 0.1331 0.0694 0.9522
Cs4 0.1331 0.4306 0.4522
Cs5 0.2700 0.7023 0.5267
Cs6 0.2700 0.7977 0.0267
Cs7 0.3492 0.1765 0.6588
Cs8 0.3492 0.3235 0.1588
Cs9 0.4919 0.5732 0.2386
Cs10 0.4919 0.9268 0.7386
Cs11 0.5081 0.0732 0.2614
Cs12 0.5081 0.4268 0.7614
Cs13 0.6508 0.6765 0.8412
Cs14 0.6508 0.8235 0.3412
Cs15 0.7300 0.2023 0.9733
Cs16 0.7300 0.2977 0.4733
Cs17 0.8669 0.5694 0.5478
Cs18 0.8669 0.9306 0.0478
Cs19 0.9973 0.6344 0.0700
Cs20 0.9973 0.8656 0.5700
Fe1 0.2462 0.5306 0.8890
Fe2 0.2462 0.9694 0.3890
Fe3 0.7538 0.0306 0.6110
Fe4 0.7538 0.4694 0.1110
O1 0.1112 0.5922 0.7433
O2 0.1112 0.9078 0.2433
O3 0.2259 0.5293 0.1425
O4 0.2259 0.9707 0.6425
O5 0.2613 0.1106 0.3153
O6 0.2613 0.3894 0.8153
O7 0.3888 0.6053 0.8592
O8 0.3888 0.8947 0.3592
O9 0.6112 0.1053 0.6408
O10 0.6112 0.3947 0.1408
O11 0.7387 0.6106 0.1847
O12 0.7387 0.8894 0.6847
O13 0.7741 0.0293 0.3575
O14 0.7741 0.4707 0.8575
O15 0.8888 0.0922 0.7567
O16 0.8888 0.4078 0.2567

---

Entry 2:
# Cs5FeO4
Simulated X-ray powder pattern, Cu Kα, 1.54184 Å. Input: a crystal structure in Alexandria, relaxed with GGA+U.
Lines closer than 0.1° are merged.

Principal peaks in the range 10 to 80 degrees two-theta, by intensity:
two_theta, d/Å, intensity
28.10, 3.175, 100
25.76, 3.458, 56
30.51, 2.930, 49
26.82, 3.324, 46
28.63, 3.118, 36
35.99, 2.495, 29
40.85, 2.209, 17
43.58, 2.077, 15
25.91, 3.439, 15
48.17, 1.889, 12

Atomic structure:
Unit cell a=9.2130 b=10.8453 c=11.3521 alpha=90.00 beta=97.97 gamma=90.00
Fractional positions:
Cs1 0.0493 0.1707 0.0244
Cs2 0.0493 0.3293 0.5244
Cs3 0.1071 0.9998 0.3579
Cs4 0.1071 0.5002 0.8579
Cs5 0.2618 0.6437 0.2430
Cs6 0.2618 0.8563 0.7430
Cs7 0.3982 0.5314 0.6367
Cs8 0.3982 0.9686 0.1367
Cs9 0.4324 0.1880 0.5199
Cs10 0.4324 0.3120 0.0199
Cs11 0.5676 0.6880 0.9801
Cs12 0.5676 0.8120 0.4801
Cs13 0.6018 0.0314 0.8633
Cs14 0.6018 0.4686 0.3633
Cs15 0.7382 0.1437 0.2570
Cs16 0.7382 0.3563 0.7570
Cs17 0.8929 0.0002 0.6421
Cs18 0.8929 0.4998 0.1421
Cs19 0.9507 0.6707 0.4756
Cs20 0.9507 0.8293 0.9756
Fe1 0.2236 0.1747 0.7646
Fe2 0.2236 0.3253 0.2646
Fe3 0.7764 0.6747 0.7354
Fe4 0.7764 0.8253 0.2354
O1 0.0342 0.2434 0.7810
O2 0.0342 0.2566 0.2810
O3 0.2006 0.0759 0.6193
O4 0.2006 0.4241 0.1193
O5 0.2922 0.0693 0.9009
O6 0.2922 0.4307 0.4009
O7 0.3644 0.1967 0.2502
O8 0.3644 0.3033 0.7502
O9 0.6356 0.6967 0.2498
O10 0.6356 0.8033 0.7498
O11 0.7078 0.5693 0.5991
O12 0.7078 0.9307 0.0991
O13 0.7994 0.5759 0.8807
O14 0.7994 0.9241 0.3807
O15 0.9658 0.7434 0.7190
O16 0.9658 0.7566 0.2190

---

Entry 3:
# Cs5FeO4
Simulated X-ray powder pattern, Cu Kα, 1.54184 Å. Input: a crystal structure in Alexandria, relaxed with GGA+U.
Lines closer than 0.1° are merged.

Principal peaks in the range 10 to 80 degrees two-theta, by intensity:
two_theta, d/Å, intensity
28.70, 3.111, 100
30.98, 2.886, 80
32.27, 2.774, 73
23.86, 3.729, 65
37.66, 2.389, 54
26.33, 3.384, 52
30.61, 2.920, 39
55.06, 1.668, 38
43.59, 2.076, 37
21.40, 4.153, 33

Atomic structure:
Unit cell a=8.3059 b=9.3904 c=7.4572 alpha=90.00 beta=90.00 gamma=90.00
Fractional positions:
Cs1 0.9999 0.0472 0.2425
Cs2 0.9999 0.4528 0.2425
Cs3 0.0001 0.5472 0.7575
Cs4 0.0001 0.9528 0.7575
Cs5 0.2500 0.2500 0.6094
Cs6 0.5001 0.0472 0.2425
Cs7 0.5001 0.4528 0.2425
Cs8 0.4999 0.5472 0.7575
Cs9 0.4999 0.9528 0.7575
Cs10 0.7500 0.7500 0.3906
Fe1 0.2500 0.7500 0.3363
Fe2 0.7500 0.2500 0.6637
O1 0.0509 0.7500 0.1992
O2 0.2500 0.5700 0.4718
O3 0.2500 0.9300 0.4718
O4 0.4491 0.7500 0.1992
O5 0.5509 0.2500 0.8008
O6 0.7500 0.0700 0.5282
O7 0.7500 0.4300 0.5282
O8 0.9491 0.2500 0.8008

---

Entry 4:
# Cs3FeO4
Simulated X-ray powder pattern, Cu Kα, 1.54184 Å. Input: a crystal structure in Alexandria, relaxed with GGA+U.
Lines closer than 0.1° are merged.

Principal peaks in the range 10 to 80 degrees two-theta, by intensity:
two_theta, d/Å, intensity
27.05, 3.296, 100
30.13, 2.966, 32
33.05, 2.710, 28
27.25, 3.273, 25
23.73, 3.749, 17
46.65, 1.947, 16
34.80, 2.578, 15
29.08, 3.071, 15
33.65, 2.663, 15
25.17, 3.538, 14

Atomic structure:
Unit cell a=8.3675 b=10.6586 c=8.4126 alpha=90.00 beta=90.00 gamma=90.00
Fractional positions:
Cs1 0.0335 0.0452 0.2238
Cs2 0.0335 0.4548 0.2238
Cs3 0.1813 0.7500 0.4126
Cs4 0.3187 0.2500 0.9126
Cs5 0.4665 0.5452 0.7238
Cs6 0.4665 0.9548 0.7238
Cs7 0.5335 0.0452 0.2762
Cs8 0.5335 0.4548 0.2762
Cs9 0.6813 0.7500 0.0874
Cs10 0.8187 0.2500 0.5874
Cs11 0.9665 0.5452 0.7762
Cs12 0.9665 0.9548 0.7762
Fe1 0.2315 0.7500 0.9900
Fe2 0.2685 0.2500 0.4900
Fe3 0.7315 0.7500 0.5100
Fe4 0.7685 0.2500 0.0100
O1 0.0377 0.7500 0.0544
O2 0.1705 0.1186 0.5568
O3 0.1705 0.3814 0.5568
O4 0.2242 0.7500 0.7851
O5 0.2758 0.2500 0.2851
O6 0.3295 0.6186 0.0568
O7 0.3295 0.8814 0.0568
O8 0.4623 0.2500 0.5544
O9 0.5377 0.7500 0.4456
O10 0.6705 0.1186 0.9432
O11 0.6705 0.3814 0.9432
O12 0.7242 0.7500 0.7149
O13 0.7758 0.2500 0.2149
O14 0.8295 0.6186 0.4432
O15 0.8295 0.8814 0.4432
O16 0.9623 0.2500 0.9456

---

Entry 5:
# Cs2FePO4
Simulated X-ray powder pattern, Cu Kα, 1.54184 Å. Input: a crystal structure in Alexandria, relaxed with GGA+U.
Lines closer than 0.1° are merged.

Principal peaks in the range 10 to 80 degrees two-theta, by intensity:
two_theta, d/Å, intensity
28.85, 3.095, 100
21.90, 4.058, 89
30.09, 2.970, 57
27.60, 3.232, 48
42.06, 2.148, 48
36.48, 2.463, 47
28.97, 3.082, 46
51.87, 1.763, 37
34.51, 2.599, 33
18.48, 4.801, 31

Atomic structure:
Unit cell a=12.3799 b=11.0676 c=6.7238 alpha=84.43 beta=62.85 gamma=32.72
Fractional positions:
Cs1 0.0477 0.0477 0.7023
Cs2 0.2977 0.2977 0.9523
Cs3 0.7023 0.7023 0.0477
Cs4 0.9523 0.9523 0.2977
Fe1 0.1250 0.1250 0.1250
Fe2 0.8750 0.8750 0.8750
P1 0.3750 0.3750 0.3750
P2 0.6250 0.6250 0.6250
O1 0.0849 0.5843 0.5201
O2 0.3107 0.5201 0.5843
O3 0.4157 0.9151 0.6893
O4 0.4799 0.6893 0.9151
O5 0.5201 0.3107 0.0849
O6 0.5843 0.0849 0.3107
O7 0.6893 0.4799 0.4157
O8 0.9151 0.4157 0.4799

---

Entry 6:
# Cs2PmFeO4
Simulated X-ray powder pattern, Cu Kα, 1.54184 Å. Input: a crystal structure in Alexandria, relaxed with GGA+U.
Lines closer than 0.1° are merged.

Principal peaks in the range 10 to 80 degrees two-theta, by intensity:
two_theta, d/Å, intensity
30.37, 2.943, 100
27.08, 3.293, 68
36.64, 2.453, 30
27.81, 3.208, 30
24.23, 3.673, 29
49.93, 1.827, 25
52.81, 1.733, 24
44.43, 2.039, 19
63.17, 1.472, 14
55.85, 1.646, 13

Atomic structure:
Unit cell a=6.5891 b=7.3586 c=7.3454 alpha=90.00 beta=90.00 gamma=90.00
Fractional positions:
Cs1 0.2500 0.9998 0.2136
Cs2 0.2500 0.5002 0.2136
Cs3 0.7500 0.0002 0.7864
Cs4 0.7500 0.4998 0.7864
Pm1 0.2500 0.2500 0.6583
Pm2 0.7500 0.7500 0.3417
Fe1 0.2500 0.7500 0.6745
Fe2 0.7500 0.2500 0.3255
O1 0.0152 0.7500 0.5208
O2 0.2500 0.5224 0.8062
O3 0.2500 0.9776 0.8062
O4 0.4848 0.7500 0.5208
O5 0.5152 0.2500 0.4792
O6 0.7500 0.0224 0.1938
O7 0.7500 0.4776 0.1938
O8 0.9848 0.2500 0.4792

---

Entry 7:
# CsFeRe2O8
Simulated X-ray powder pattern, Cu Kα, 1.54184 Å. Input: a crystal structure in Alexandria, relaxed with GGA+U.
Lines closer than 0.1° are merged.

Principal peaks in the range 10 to 80 degrees two-theta, by intensity:
two_theta, d/Å, intensity
22.06, 4.030, 100
30.37, 2.943, 42
49.29, 1.849, 23
18.67, 4.753, 18
32.38, 2.765, 17
37.86, 2.377, 15
24.31, 3.662, 13
44.99, 2.015, 12
43.63, 2.075, 10
67.80, 1.382, 9

Atomic structure:
Unit cell a=9.4100 b=9.4100 c=9.4100 alpha=36.45 beta=36.45 gamma=36.45
Fractional positions:
Cs1 0.0000 0.0000 0.0000
Fe1 0.5000 0.5000 0.5000
Re1 0.2345 0.2345 0.2345
Re2 0.7655 0.7655 0.7655
O1 0.1167 0.6229 0.6229
O2 0.3017 0.3017 0.3017
O3 0.3771 0.3771 0.8833
O4 0.3771 0.8833 0.3771
O5 0.6229 0.1167 0.6229
O6 0.6229 0.6229 0.1167
O7 0.6983 0.6983 0.6983
O8 0.8833 0.3771 0.3771

---

Entry 8:
# Cs2TbFeO4
Simulated X-ray powder pattern, Cu Kα, 1.54184 Å. Input: a crystal structure in Alexandria, relaxed with GGA+U.
Lines closer than 0.1° are merged.

Principal peaks in the range 10 to 80 degrees two-theta, by intensity:
two_theta, d/Å, intensity
26.65, 3.344, 100
34.29, 2.615, 53
17.38, 5.104, 49
27.40, 3.255, 46
15.15, 5.847, 46
32.21, 2.779, 45
25.55, 3.487, 43
48.42, 1.880, 43
39.11, 2.303, 35
26.07, 3.418, 27

Atomic structure:
Unit cell a=13.3842 b=12.0384 c=7.1078 alpha=84.53 beta=63.55 gamma=31.91
Fractional positions:
Cs1 0.0562 0.0562 0.6938
Cs2 0.3062 0.3062 0.9438
Cs3 0.6938 0.6938 0.0562
Cs4 0.9438 0.9438 0.3062
Tb1 0.1250 0.1250 0.1250
Tb2 0.8750 0.8750 0.8750
Fe1 0.3750 0.3750 0.3750
Fe2 0.6250 0.6250 0.6250
O1 0.0274 0.6422 0.5522
O2 0.2783 0.5522 0.6422
O3 0.3578 0.9726 0.7217
O4 0.4478 0.7217 0.9726
O5 0.5522 0.2783 0.0274
O6 0.6422 0.0274 0.2783
O7 0.7217 0.4478 0.3578
O8 0.9726 0.3578 0.4478

---

Entry 9:
# CsFeTeO4
Simulated X-ray powder pattern, Cu Kα, 1.54184 Å. Input: a crystal structure in Alexandria, relaxed with GGA+U.
Lines closer than 0.1° are merged.

Principal peaks in the range 10 to 80 degrees two-theta, by intensity:
two_theta, d/Å, intensity
20.04, 4.432, 100
26.21, 3.400, 100
29.05, 3.074, 53
27.91, 3.197, 36
37.64, 2.390, 35
39.66, 2.272, 34
13.22, 6.698, 26
21.78, 4.081, 26
40.72, 2.216, 26
38.80, 2.321, 23

Atomic structure:
Unit cell a=7.3870 b=6.1481 c=7.8049 alpha=90.00 beta=114.94 gamma=90.00
Fractional positions:
Cs1 0.2054 0.2500 0.4978
Cs2 0.7946 0.7500 0.5022
Fe1 0.4779 0.2500 0.1791
Fe2 0.5221 0.7500 0.8209
Te1 0.2818 0.7500 0.0459
Te2 0.7182 0.2500 0.9541
O1 0.2465 0.7500 0.7505
O2 0.3476 0.5011 0.2225
O3 0.3476 0.9989 0.2225
O4 0.4424 0.2500 0.9197
O5 0.5576 0.7500 0.0803
O6 0.6524 0.0011 0.7775
O7 0.6524 0.4989 0.7775
O8 0.7535 0.2500 0.2495